Entry 1:
# MgAl2SiO7
Calculated powder XRD pattern, Cu Kα X-rays. Input: a cell relaxed with PBE.

Atomic structure:
abc: 5.5334 5.5765 8.9605
angles: 82.57 76.52 60.34
Space group P-1 (No. 2)
Unique sites:
Mg1 0.1625 0.1739 0.9999
Al1 0.0000 0.0000 0.5000
Al2 0.5000 0.0000 0.5000
Al3 0.5000 0.5000 0.0000
Al4 0.5000 0.5000 0.5000
Si1 0.0676 0.5023 0.3117
O1 0.1339 0.5005 0.1216
O2 0.2057 0.1794 0.3756
O3 0.2099 0.6647 0.3712
O4 0.2404 0.8108 0.9034
O5 0.2792 0.3345 0.6263
O6 0.2986 0.8294 0.5965
O7 0.4495 0.8082 0.0915

Principal peaks in the range 2θ = 15–90°, in order of rising 2θ:
4.356 Å, I 100, (0 0 2); 2.903 Å, I 26, (0 0 3); 2.742 Å, I 15, (1 1 3); 2.726 Å, I 16, (1 0 3); 2.489 Å, I 21, (1 2 2); 2.462 Å, I 22, (1 -1 2); 2.417 Å, I 31, (2 1 -1); 2.345 Å, I 26, (0 2 1); 2.267 Å, I 15, (2 0 2); 1.834 Å, I 13, (1 2 4); 1.393 Å, I 14, (2 4 1); 1.379 Å, I 15, (4 2 2)



Entry 2:
# Sm3Be2HgPd9
Calculated powder XRD pattern, Cu Kα X-rays. Input: a cell relaxed with PBE.

Atomic structure:
abc: 5.9245 5.9245 9.7277
angles: 90.00 90.00 120.00
Space group P-3m1 (No. 164)
Unique sites:
Sm1 0.0000 0.0000 0.0000
Sm2 0.3333 0.6667 0.7162
Be1 0.3333 0.6667 0.1447
Hg1 0.0000 0.0000 0.5000
Pd1 0.0000 0.5000 0.0000
Pd2 0.1596 0.3193 0.2693

Principal peaks in the range 2θ = 15–90°, in order of rising 2θ:
5.131 Å, I 15, (1 0 0); 3.530 Å, I 16, (0 1 2); 3.243 Å, I 15, (0 0 3); 2.481 Å, I 73, (0 2 1); 2.432 Å, I 32, (0 0 4); 2.269 Å, I 100, (2 0 2); 2.012 Å, I 28, (2 0 3); 1.550 Å, I 16, (0 2 5); 1.481 Å, I 25, (2 2 0); 1.371 Å, I 19, (2 0 6); 1.265 Å, I 23, (2 2 4); 1.240 Å, I 14, (0 4 2)